# 1
Starting from DFT lattice parameters and positions (PBE), the powder X-ray diffraction pattern of RbZnCo2Cl8 was computed for λ = 1.5418 Å (Cu Kα).
Kinematic intensities with the Lorentz-polarization factor, no thermal factor.

Principal peaks in the range 2θ from 10° to 90°, sorted by position:
hkl 1 0 4, 20.5 deg, 4.324 Å, I = 100.0; hkl 0 0 9, 28.3 deg, 3.151 Å, I = 60.0; hkl 2 -1 3, 29.9 deg, 2.991 Å, I = 42.1; hkl 0 1 8, 30.1 deg, 2.971 Å, I = 18.9; hkl 1 1 6, 34.2 deg, 2.622 Å, I = 35.6; hkl 0 2 4, 35.2 deg, 2.548 Å, I = 22.9; hkl 2 1 4, 45.8 deg, 1.982 Å, I = 22.5; hkl 2 -1 12, 48.2 deg, 1.890 Å, I = 38.5; hkl 3 0 0, 50.1 deg, 1.820 Å, I = 35.3; hkl 3 0 9, 58.6 deg, 1.576 Å, I = 18.3

Structure:
a b c (Å): 6.3058 6.3058 28.3247
angles (deg): 90.00 90.00 120.00
Space group R-3 (No. 148, hexagonal axes)
Inequivalent atoms, fractional coordinates:
Rb  0.0000  0.0000  0.0000 x3
Zn  0.0000  0.0000  0.5000 x3
Co  0.0000  0.0000  0.2412 x6
Cl  0.0000  0.0000  0.3184 x6
Cl  0.0020  0.3212  0.4480 x18

---

# 2
Starting from DFT lattice parameters and positions (PBE), the powder X-ray diffraction pattern of TlCoSbCl6 was computed for λ = 1.5418 Å (Cu Kα).
Kinematic intensities with the Lorentz-polarization factor, no thermal factor.

Principal peaks in the range 2θ from 10° to 90°, sorted by position:
hkl 1 0 1, 19.7 deg, 4.499 Å, I = 100.0; hkl 1 1 0, 26.6 deg, 3.356 Å, I = 20.6; hkl 1 1 1, 29.5 deg, 3.033 Å, I = 21.4; hkl 2 0 1, 33.3 deg, 2.690 Å, I = 23.4; hkl 2 -1 2, 36.8 deg, 2.439 Å, I = 50.9; hkl 1 0 3, 41.2 deg, 2.193 Å, I = 16.0; hkl 3 -1 1, 43.1 deg, 2.099 Å, I = 26.8; hkl 3 0 0, 46.9 deg, 1.938 Å, I = 18.5; hkl 2 1 3, 57.2 deg, 1.611 Å, I = 11.7; hkl 3 1 1, 58.7 deg, 1.572 Å, I = 11.7

Structure:
a b c (Å): 6.7128 6.7128 7.1022
angles (deg): 90.00 90.00 120.00
Space group P312 (No. 149)
Inequivalent atoms, fractional coordinates:
Tl  0.0000  0.0000  0.0000 x1
Co  0.3333  0.6667  0.5000 x1
Sb  0.6667  0.3333  0.5000 x1
Cl  0.0242  0.3796  0.7011 x6

---

# 3
Starting from DFT lattice parameters and positions (PBE), the powder X-ray diffraction pattern of CoSe4Cl was computed for λ = 1.5418 Å (Cu Kα).
Kinematic intensities with the Lorentz-polarization factor, no thermal factor.

Principal peaks in the range 2θ from 10° to 90°, sorted by position:
hkl 1 1 0, 14.0 deg, 6.337 Å, I = 100.0; hkl 0 2 0, 14.9 deg, 5.931 Å, I = 32.6; hkl 1 1 -2, 27.5 deg, 3.248 Å, I = 40.3; hkl 1 3 1, 30.3 deg, 2.952 Å, I = 17.1; hkl 0 4 1, 33.1 deg, 2.709 Å, I = 13.7; hkl 2 2 1, 33.9 deg, 2.645 Å, I = 15.7; hkl 1 3 -2, 34.9 deg, 2.568 Å, I = 16.6; hkl 1 3 2, 39.6 deg, 2.276 Å, I = 28.8; hkl 3 3 -2, 45.6 deg, 1.989 Å, I = 23.8; hkl 2 6 0, 52.3 deg, 1.749 Å, I = 16.5

Structure:
a b c (Å): 7.7577 11.8628 6.8772
angles (deg): 90.00 104.92 90.00
Space group C2/c (No. 15)
Inequivalent atoms, fractional coordinates:
Co  0.0000  0.0007  0.2500 x4
Se  0.0320  0.1573  0.0330 x8
Se  0.2317  0.0604  0.5977 x8
Cl  0.0000  0.3822  0.7500 x4

---

# 4
Starting from DFT lattice parameters and positions (PBE), the powder X-ray diffraction pattern of Sm3CoCl2 was computed for λ = 1.5418 Å (Cu Kα).
Kinematic intensities with the Lorentz-polarization factor, no thermal factor.

Principal peaks in the range 2θ from 10° to 90°, sorted by position:
hkl 0 0 2, 13.0 deg, 6.820 Å, I = 28.9; hkl 0 1 3, 24.9 deg, 3.575 Å, I = 38.2; hkl 1 1 0, 28.1 deg, 3.181 Å, I = 45.5; hkl 1 0 3, 30.6 deg, 2.919 Å, I = 100.0; hkl 0 2 0, 30.9 deg, 2.894 Å, I = 62.4; hkl 0 1 5, 36.4 deg, 2.468 Å, I = 22.8; hkl 1 0 5, 40.7 deg, 2.217 Å, I = 18.6; hkl 1 2 3, 44.1 deg, 2.055 Å, I = 71.9; hkl 2 2 0, 58.0 deg, 1.590 Å, I = 20.1; hkl 1 1 8, 61.7 deg, 1.503 Å, I = 19.1

Structure:
a b c (Å): 3.8073 5.7884 13.6395
angles (deg): 90.00 90.00 90.00
Space group Immm (No. 71)
Inequivalent atoms, fractional coordinates:
Sm  0.0000  0.0000  0.0000 x2
Sm  0.0000  0.0000  0.3692 x4
Co  0.0000  0.5000  0.0000 x2
Cl  0.0000  0.5000  0.3222 x4

---

# 5
Starting from DFT lattice parameters and positions (PBE), the powder X-ray diffraction pattern of SrCoCl4 was computed for λ = 1.5418 Å (Cu Kα).
Kinematic intensities with the Lorentz-polarization factor, no thermal factor.

Principal peaks in the range 2θ from 10° to 90°, sorted by position:
hkl 2 0 0, 19.0 deg, 4.675 Å, I = 100.0; hkl 1 1 2, 25.8 deg, 3.449 Å, I = 36.1; hkl 2 0 2, 29.2 deg, 3.058 Å, I = 18.0; hkl 3 0 1, 30.7 deg, 2.908 Å, I = 22.9; hkl 1 0 3, 34.6 deg, 2.589 Å, I = 12.6; hkl 3 1 2, 37.7 deg, 2.386 Å, I = 68.1; hkl 4 0 0, 38.5 deg, 2.338 Å, I = 23.1; hkl 3 3 2, 47.0 deg, 1.935 Å, I = 32.3; hkl 2 0 4, 49.1 deg, 1.855 Å, I = 11.7; hkl 5 1 2, 55.0 deg, 1.669 Å, I = 12.0

Structure:
a b c (Å): 9.3507 9.3507 8.0837
angles (deg): 90.00 90.00 90.00
Space group I4_1/amd (No. 141, origin choice 2)
Inequivalent atoms, fractional coordinates:
Sr  0.0000  0.2500  0.3750 x4
Co  0.0000  0.2500  0.8750 x4
Cl  0.0000  0.0676  0.6916 x16

---

# 6
Starting from DFT lattice parameters and positions (PBE), the powder X-ray diffraction pattern of SrCo2Cl was computed for λ = 1.5418 Å (Cu Kα).
Kinematic intensities with the Lorentz-polarization factor, no thermal factor.

Principal peaks in the range 2θ from 10° to 90°, sorted by position:
hkl 0 0 1, 11.0 deg, 8.032 Å, I = 100.0; hkl 0 0 2, 22.1 deg, 4.016 Å, I = 42.0; hkl 0 1 1, 28.3 deg, 3.157 Å, I = 19.3; hkl 0 0 3, 33.5 deg, 2.677 Å, I = 29.1; hkl 0 1 2, 34.4 deg, 2.610 Å, I = 23.2; hkl 1 1 -1, 38.6 deg, 2.330 Å, I = 53.2; hkl 1 1 1, 38.8 deg, 2.320 Å, I = 54.9; hkl 1 1 -2, 43.4 deg, 2.086 Å, I = 22.1; hkl 1 1 2, 43.7 deg, 2.071 Å, I = 19.8; hkl 0 2 0, 53.3 deg, 1.717 Å, I = 27.4

Structure:
a b c (Å): 3.4362 3.4336 8.0321
angles (deg): 90.00 90.64 90.00
Space group Pm (No. 6)
Inequivalent atoms, fractional coordinates:
Sr  0.0000  0.0000  0.0000 x1
Co  0.4898  0.0000  0.6760 x1
Co  0.9897  0.5000  0.6759 x1
Cl  0.5049  0.5000  0.1928 x1

---

# 7
Starting from DFT lattice parameters and positions (PBE), the powder X-ray diffraction pattern of Tb6CoCl10 was computed for λ = 1.5418 Å (Cu Kα).
Kinematic intensities with the Lorentz-polarization factor, no thermal factor.

Principal peaks in the range 2θ from 10° to 90°, sorted by position:
hkl 0 0 1, 10.7 deg, 8.277 Å, I = 100.0; hkl 0 1 0, 11.2 deg, 7.875 Å, I = 97.2; hkl 0 1 -1, 12.4 deg, 7.149 Å, I = 41.7; hkl 1 0 0, 13.2 deg, 6.723 Å, I = 40.2; hkl 1 -2 0, 22.3 deg, 3.993 Å, I = 23.4; hkl 2 0 1, 30.8 deg, 2.903 Å, I = 74.8; hkl 1 1 -3, 31.6 deg, 2.831 Å, I = 70.9; hkl 1 -3 0, 32.4 deg, 2.759 Å, I = 69.3; hkl 1 -1 4, 45.0 deg, 2.015 Å, I = 24.5; hkl 0 4 -3, 45.9 deg, 1.978 Å, I = 26.0

Structure:
a b c (Å): 7.1359 8.7588 8.9438
angles (deg): 108.57 96.60 105.19
Space group P-1 (No. 2)
Inequivalent atoms, fractional coordinates:
Tb  0.0377  0.2076  0.4076 x2
Tb  0.1357  0.5561  0.2550 x2
Tb  0.3614  0.6398  0.6881 x2
Co  0.0000  0.5000  0.5000 x1
Cl  0.0895  0.8730  0.3371 x2
Cl  0.2203  0.2534  0.1594 x2
Cl  0.2370  0.5775  0.9505 x2
Cl  0.3348  0.9502  0.7752 x2
Cl  0.4526  0.3247  0.5771 x2

---

# 8
Starting from DFT lattice parameters and positions (PBE), the powder X-ray diffraction pattern of CoTc4Cl was computed for λ = 1.5418 Å (Cu Kα).
Kinematic intensities with the Lorentz-polarization factor, no thermal factor.

Principal peaks in the range 2θ from 10° to 90°, sorted by position:
hkl 1 1 1, 21.2 deg, 4.192 Å, I = 46.0; hkl 2 2 0, 35.0 deg, 2.567 Å, I = 10.5; hkl 3 1 1, 41.2 deg, 2.189 Å, I = 100.0; hkl 2 2 2, 43.2 deg, 2.096 Å, I = 65.2; hkl 4 0 0, 50.3 deg, 1.815 Å, I = 18.1; hkl 3 3 1, 55.1 deg, 1.666 Å, I = 10.8; hkl 5 1 1, 67.0 deg, 1.397 Å, I = 29.8; hkl 4 4 0, 73.8 deg, 1.283 Å, I = 28.6; hkl 5 3 3, 88.3 deg, 1.107 Å, I = 10.6; hkl 6 2 2, 89.6 deg, 1.095 Å, I = 23.7

Structure:
a b c (Å): 7.2602 7.2602 7.2602
angles (deg): 90.00 90.00 90.00
Space group F-43m (No. 216)
Inequivalent atoms, fractional coordinates:
Co  0.0000  0.0000  0.0000 x4
Tc  0.1244  0.1244  0.6244 x16
Cl  0.2500  0.2500  0.2500 x4

---

# 9
Starting from DFT lattice parameters and positions (PBE), the powder X-ray diffraction pattern of CoTcCl3 was computed for λ = 1.5418 Å (Cu Kα).
Kinematic intensities with the Lorentz-polarization factor, no thermal factor.

Principal peaks in the range 2θ from 10° to 90°, sorted by position:
hkl 1 1 0, 26.9 deg, 3.319 Å, I = 100.0; hkl 1 1 1, 33.1 deg, 2.710 Å, I = 51.5; hkl 2 0 0, 38.4 deg, 2.347 Å, I = 85.8; hkl 2 1 1, 47.4 deg, 1.916 Å, I = 42.5; hkl 2 2 0, 55.4 deg, 1.660 Å, I = 54.1; hkl 3 1 0, 62.6 deg, 1.484 Å, I = 18.1; hkl 3 1 1, 66.0 deg, 1.415 Å, I = 17.7; hkl 2 2 2, 69.4 deg, 1.355 Å, I = 17.6; hkl 3 2 1, 75.8 deg, 1.254 Å, I = 19.9; hkl 4 1 1, 88.3 deg, 1.106 Å, I = 10.1

Structure:
a b c (Å): 4.6939 4.6939 4.6939
angles (deg): 90.00 90.00 90.00
Space group Pm-3m (No. 221)
Inequivalent atoms, fractional coordinates:
Co  0.0000  0.0000  0.0000 x1
Tc  0.5000  0.5000  0.5000 x1
Cl  0.0000  0.0000  0.5000 x3

---

# 10
Starting from DFT lattice parameters and positions (PBE), the powder X-ray diffraction pattern of Th6CoCl15 was computed for λ = 1.5418 Å (Cu Kα).
Kinematic intensities with the Lorentz-polarization factor, no thermal factor.

Principal peaks in the range 2θ from 10° to 90°, sorted by position:
hkl 1 1 0, 11.0 deg, 8.007 Å, I = 100.0; hkl 2 0 0, 15.7 deg, 5.662 Å, I = 20.0; hkl 2 1 1, 19.2 deg, 4.623 Å, I = 35.0; hkl 3 1 0, 24.9 deg, 3.581 Å, I = 22.7; hkl 3 2 1, 29.5 deg, 3.027 Å, I = 32.0; hkl 4 0 0, 31.6 deg, 2.831 Å, I = 63.7; hkl 4 1 1, 33.6 deg, 2.669 Å, I = 18.5; hkl 5 1 0, 40.6 deg, 2.221 Å, I = 25.0; hkl 4 4 0, 45.3 deg, 2.002 Å, I = 45.6; hkl 8 4 0, 75.0 deg, 1.266 Å, I = 19.8

Structure:
a b c (Å): 11.3242 11.3242 11.3242
angles (deg): 90.00 90.00 90.00
Space group Im-3m (No. 229)
Inequivalent atoms, fractional coordinates:
Th  0.0000  0.0000  0.2439 x12
Co  0.0000  0.0000  0.0000 x2
Cl  0.0000  0.0000  0.5000 x6
Cl  0.0000  0.2461  0.2461 x24

---

# 11
Starting from DFT lattice parameters and positions (PBE), the powder X-ray diffraction pattern of TlCo4Cl8 was computed for λ = 1.5418 Å (Cu Kα).
Kinematic intensities with the Lorentz-polarization factor, no thermal factor.

Principal peaks in the range 2θ from 10° to 90°, sorted by position:
hkl 1 0 1, 18.3 deg, 4.844 Å, I = 45.2; hkl 1 0 2, 24.2 deg, 3.682 Å, I = 90.0; hkl 1 1 0, 27.7 deg, 3.216 Å, I = 66.8; hkl 1 1 1, 29.2 deg, 3.056 Å, I = 100.0; hkl 1 0 3, 31.7 deg, 2.821 Å, I = 21.9; hkl 2 0 2, 37.1 deg, 2.422 Å, I = 29.0; hkl 1 1 4, 46.6 deg, 1.950 Å, I = 49.2; hkl 2 1 2, 47.0 deg, 1.935 Å, I = 30.5; hkl 3 0 0, 49.1 deg, 1.857 Å, I = 41.0; hkl 2 -1 5, 54.8 deg, 1.675 Å, I = 27.2

Structure:
a b c (Å): 6.4312 6.4312 9.8130
angles (deg): 90.00 90.00 120.00
Space group P-31m (No. 162)
Inequivalent atoms, fractional coordinates:
Tl  0.0000  0.0000  0.0000 x1
Co  0.3333  0.6667  0.2335 x4
Cl  0.0000  0.3362  0.6927 x6
Cl  0.3333  0.6667  0.0000 x2

---

# 12
Starting from DFT lattice parameters and positions (PBE), the powder X-ray diffraction pattern of TlCoCl3 was computed for λ = 1.5418 Å (Cu Kα).
Kinematic intensities with the Lorentz-polarization factor, no thermal factor.

Principal peaks in the range 2θ from 10° to 90°, sorted by position:
hkl 1 1 1, 21.0 deg, 4.227 Å, I = 94.6; hkl 3 0 0, 25.5 deg, 3.499 Å, I = 73.5; hkl 0 0 2, 30.3 deg, 2.949 Å, I = 17.5; hkl 2 2 1, 33.2 deg, 2.696 Å, I = 100.0; hkl 1 1 2, 33.8 deg, 2.652 Å, I = 24.6; hkl 4 1 1, 42.3 deg, 2.135 Å, I = 29.2; hkl 2 2 2, 42.8 deg, 2.114 Å, I = 27.5; hkl 4 1 2, 50.4 deg, 1.809 Å, I = 19.7; hkl 6 0 0, 52.3 deg, 1.750 Å, I = 25.9; hkl 2 2 3, 55.7 deg, 1.649 Å, I = 17.3

Structure:
a b c (Å): 12.1222 12.1222 5.8987
angles (deg): 90.00 90.00 120.00
Space group P6_3cm (No. 185)
Inequivalent atoms, fractional coordinates:
Tl  0.0000  0.3350  0.0000 x6
Co  0.0000  0.0000  0.1919 x2
Co  0.3333  0.6667  0.2878 x4
Cl  0.0000  0.1586  0.4391 x6
Cl  0.1748  0.5077  0.5397 x12